The following is a simulated XRD peak list of GaAsH5CNO5. It was derived from the GGA-PBE geometry in the Materials Project, using Cu Kα X-rays.
No peak broadening, texture or thermal motion is included.

Largest 8 diffraction maxima, low angle first, 2θ = 10–90°:
two_theta, d [Å], I/Imax, h k l
15.06, 5.884, 32, 0 1 1
17.07, 5.196, 33, 0 1 2
19.98, 4.443, 50, 0 1 3
25.00, 3.562, 100, 1 0 -4
28.07, 3.179, 55, 1 0 4
34.76, 2.581, 77, 1 2 -1
35.74, 2.513, 37, 1 0 6
52.47, 1.744, 32, 2 2 -5

Atomic structure:
```
GaAsH5CNO5
1.0
4.7269 0.0000 0.0000
0.0000 6.1830 0.0000
-2.1852 0.0000 19.1694
Ga As H C N O
4 4 20 4 4 20
Direct
0.0073 0.1344 0.2538
0.0073 0.3656 0.7538
0.9927 0.6344 0.2462
0.9927 0.8656 0.7462
0.4885 0.6075 0.6544
0.4885 0.8925 0.1544
0.5115 0.1075 0.8456
0.5115 0.3925 0.3456
0.0955 0.1159 0.0659
0.0955 0.3841 0.5659
0.1431 0.7060 0.9076
0.1431 0.7940 0.4076
0.2061 0.6760 0.4883
0.2061 0.8240 0.9883
0.2095 0.1645 0.4742
0.2095 0.3355 0.9742
0.2652 0.0178 0.5547
0.2652 0.4822 0.0547
0.7348 0.5178 0.9453
0.7348 0.9822 0.4453
0.7905 0.6645 0.0258
0.7905 0.8355 0.5258
0.7939 0.1760 0.0117
0.7939 0.3240 0.5117
0.8569 0.2060 0.5924
0.8569 0.2940 0.0924
0.9045 0.6159 0.4341
0.9045 0.8841 0.9341
0.1031 0.0865 0.5154
0.1031 0.4135 0.0154
0.8969 0.5865 0.9846
0.8969 0.9135 0.4846
0.0516 0.7416 0.4508
0.0516 0.7584 0.9508
0.9484 0.2416 0.0492
0.9484 0.2584 0.5492
0.1320 0.1194 0.6983
0.1320 0.3806 0.1983
0.2092 0.6125 0.7069
0.2092 0.8875 0.2069
0.3103 0.6199 0.3227
0.3103 0.8801 0.8227
0.3172 0.1577 0.3317
0.3172 0.3423 0.8317
0.3467 0.5785 0.5703
0.3467 0.9215 0.0703
0.6533 0.0785 0.9297
0.6533 0.4215 0.4297
0.6828 0.6577 0.1683
0.6828 0.8423 0.6683
0.6897 0.1199 0.1773
0.6897 0.3801 0.6773
0.7908 0.1125 0.7931
0.7908 0.3875 0.2931
0.8680 0.6194 0.8017
0.8680 0.8806 0.3017
```